(1)
This entry pairs a crystal structure of PuGaSn6 with its computed powder diffractogram. Radiation: Cu Kα. Structure: the GGA-PBE geometry in Alexandria.
Intensities are scaled so that the largest is 100.

Structure:
abc: 6.2310 5.3557 6.9044
angles: 90.00 116.24 90.00
Space group P2/m (No. 10)
Symmetry-distinct sites (fractional):
Pu: 0.0000 0.0000 0.0000
Ga: 0.5000 0.0000 0.5000
Sn: 0.0000 0.0000 0.5000
Sn: 0.1361 0.5000 0.7601
Sn: 0.3777 0.5000 0.2521
Sn: 0.5000 0.0000 0.0000

Main lines, in order of rising 2θ (10 to 90 degrees two-theta):
hkl  2theta  d_spacing  I/Imax
2 1 -1  33.27  2.693  26
0 2 0  33.44  2.680  100
2 1 0  36.26  2.478  17
2 1 -2  36.51  2.461  16
0 3 2  59.76  1.548  25
4 1 -4  70.18  1.341  16

=====

(2)
This entry pairs a crystal structure of Pu4Ga3Sn with its computed powder diffractogram. Radiation: Cu Kα. Structure: the GGA-PBE geometry in Alexandria.
Intensities are scaled so that the largest is 100.

Structure:
abc: 4.4683 4.5127 9.0041
angles: 90.00 90.00 90.00
Space group Pmmm (No. 47)
Symmetry-distinct sites (fractional):
Pu: 0.0000 0.0000 0.0000
Pu: 0.0000 0.0000 0.5000
Pu: 0.0000 0.5000 0.2369
Ga: 0.5000 0.0000 0.2449
Ga: 0.5000 0.5000 0.0000
Sn: 0.5000 0.5000 0.5000

Main lines, in order of rising 2θ (10 to 90 degrees two-theta):
hkl  2theta  d_spacing  I/Imax
1 0 0  19.87  4.468  21
0 1 2  28.00  3.187  18
1 1 2  34.57  2.595  100
0 2 0  40.01  2.254  33
2 0 0  40.37  2.234  17
2 2 0  58.14  1.587  23

=====

(3)
This entry pairs a crystal structure of TbPu3Ga8 with its computed powder diffractogram. Radiation: Cu Kα. Structure: the GGA-PBE geometry in Alexandria.
Intensities are scaled so that the largest is 100.

Structure:
abc: 5.5203 5.5203 27.0324
angles: 90.00 90.00 120.00
Space group R3m (No. 160, hexagonal axes)
Symmetry-distinct sites (fractional):
Tb: 0.0000 0.0000 0.0000
Pu: 0.0000 0.0000 0.3810
Pu: 0.0000 0.0000 0.5013
Pu: 0.0000 0.0000 0.8724
Ga: 0.0000 0.0000 0.1890
Ga: 0.0000 0.0000 0.6885
Ga: 0.0000 0.5000 0.4375
Ga: 0.0012 0.5006 0.9396

Main lines, in order of rising 2θ (10 to 90 degrees two-theta):
hkl  2theta  d_spacing  I/Imax
0 1 2  19.70  4.507  21
1 1 0  32.44  2.760  70
2 0 2  38.24  2.354  100
3 0 0  57.87  1.593  27
2 1 10  61.75  1.502  32
2 2 0  67.93  1.380  23

=====

(4)
This entry pairs a crystal structure of Pu2Ga6Tc with its computed powder diffractogram. Radiation: Cu Kα. Structure: the GGA-PBE geometry in Alexandria.
Intensities are scaled so that the largest is 100.

Structure:
abc: 9.9172 7.2026 5.6240
angles: 90.00 119.87 90.00
Space group C2/m (No. 12)
Symmetry-distinct sites (fractional):
Pu: 0.1964 0.0000 0.3462
Ga: 0.0000 0.3324 0.0000
Ga: 0.1362 0.1798 0.7684
Tc: 0.0000 0.5000 0.5000

Main lines, in order of rising 2θ (10 to 90 degrees two-theta):
hkl  2theta  d_spacing  I/Imax
0 2 1  30.87  2.897  55
2 2 -1  31.73  2.820  50
3 1 0  33.65  2.663  93
1 1 -2  35.16  2.553  100
4 0 -2  39.75  2.267  56
1 3 -1  40.89  2.207  62

=====

(5)
This entry pairs a crystal structure of Pu2Ga4Tc with its computed powder diffractogram. Radiation: Cu Kα. Structure: the GGA-PBE geometry in Alexandria.
Intensities are scaled so that the largest is 100.

Structure:
abc: 7.6832 7.7241 9.6715
angles: 90.00 90.00 90.00
Space group Fmm2 (No. 42)
Symmetry-distinct sites (fractional):
Pu: 0.2500 0.2500 0.0000
Ga: 0.0000 0.1816 0.2524
Ga: 0.1819 0.0000 0.7478
Tc: 0.0000 0.0000 0.0006

Main lines, in order of rising 2θ (10 to 90 degrees two-theta):
hkl  2theta  d_spacing  I/Imax
0 0 2  18.35  4.836  19
0 2 2  29.65  3.013  57
2 2 0  32.88  2.724  18
0 0 4  37.19  2.418  34
2 2 2  37.91  2.373  100
2 2 6  67.52  1.387  19

=====

(6)
This entry pairs a crystal structure of Pu4Ga2Tc with its computed powder diffractogram. Radiation: Cu Kα. Structure: the GGA-PBE geometry in Alexandria.
Intensities are scaled so that the largest is 100.

Structure:
abc: 4.3018 16.6055 5.0823
angles: 90.00 90.00 90.00
Space group Cmmm (No. 65)
Symmetry-distinct sites (fractional):
Pu: 0.0000 0.0894 0.0000
Pu: 0.0000 0.3898 0.5000
Ga: 0.0000 0.2851 0.0000
Tc: 0.0000 0.0000 0.5000

Main lines, in order of rising 2θ (10 to 90 degrees two-theta):
hkl  2theta  d_spacing  I/Imax
0 2 0  10.66  8.303  27
0 4 0  21.40  4.152  27
1 1 1  27.70  3.221  74
0 0 2  35.32  2.541  35
1 5 1  38.56  2.335  100
1 5 3  65.55  1.424  24

=====

(7)
This entry pairs a crystal structure of Pu6GaTc5 with its computed powder diffractogram. Radiation: Cu Kα. Structure: the GGA-PBE geometry in Alexandria.
Intensities are scaled so that the largest is 100.

Structure:
abc: 4.9788 8.2762 6.1504
angles: 90.00 113.64 90.00
Space group P2/m (No. 10)
Symmetry-distinct sites (fractional):
Pu: 0.0000 0.2172 0.0000
Pu: 0.3250 0.2758 0.6495
Ga: 0.5000 0.0000 0.0000
Tc: 0.1264 0.5000 0.2541
Tc: 0.1823 0.0000 0.3637
Tc: 0.5000 0.5000 0.0000

Main lines, in order of rising 2θ (10 to 90 degrees two-theta):
hkl  2theta  d_spacing  I/Imax
0 2 0  21.47  4.138  15
2 0 -1  36.08  2.489  32
1 2 1  37.02  2.428  100
0 4 0  43.75  2.069  13
2 4 -1  57.96  1.591  11
3 2 0  65.40  1.427  11

=====

(8)
This entry pairs a crystal structure of PuTl2GaTe4 with its computed powder diffractogram. Radiation: Cu Kα. Structure: the GGA-PBE geometry in Alexandria.
Intensities are scaled so that the largest is 100.

Structure:
abc: 9.0752 9.0832 13.0247
angles: 90.00 90.00 90.00
Space group Imma (No. 74)
Symmetry-distinct sites (fractional):
Pu: 0.2500 0.2500 0.2500
Tl: 0.0000 0.0000 0.0000
Tl: 0.2500 0.2500 0.7500
Ga: 0.0000 0.0000 0.5000
Te: 0.0000 0.0222 0.2660
Te: 0.2183 0.2500 0.4877

Main lines, in order of rising 2θ (10 to 90 degrees two-theta):
hkl  2theta  d_spacing  I/Imax
0 0 4  27.39  3.256  52
2 2 0  27.79  3.210  100
2 2 4  39.42  2.286  75
0 4 0  39.71  2.270  37
0 4 4  48.91  1.862  39
2 6 4  71.87  1.314  22

=====

(9)
This entry pairs a crystal structure of Pu3ThGa8 with its computed powder diffractogram. Radiation: Cu Kα. Structure: the GGA-PBE geometry in Alexandria.
Intensities are scaled so that the largest is 100.

Structure:
abc: 5.5455 5.5455 27.1551
angles: 90.00 90.00 120.00
Space group R3m (No. 160, hexagonal axes)
Symmetry-distinct sites (fractional):
Pu: 0.0000 0.0000 0.0000
Pu: 0.0000 0.0000 0.1215
Pu: 0.0000 0.0000 0.4942
Th: 0.0000 0.0000 0.6216
Ga: 0.0000 0.0000 0.3095
Ga: 0.0000 0.0000 0.8090
Ga: 0.0005 0.5003 0.0591
Ga: 0.0010 0.5005 0.5590

Main lines, in order of rising 2θ (10 to 90 degrees two-theta):
hkl  2theta  d_spacing  I/Imax
0 1 2  19.61  4.527  24
1 1 0  32.29  2.772  73
1 0 10  38.06  2.364  100
3 0 0  57.59  1.601  29
2 1 10  61.44  1.509  33
2 2 0  67.58  1.386  24

=====

(10)
This entry pairs a crystal structure of Pu2ThGa4 with its computed powder diffractogram. Radiation: Cu Kα. Structure: the GGA-PBE geometry in Alexandria.
Intensities are scaled so that the largest is 100.

Structure:
abc: 4.1409 4.1925 18.8336
angles: 90.00 90.00 90.00
Space group Immm (No. 71)
Symmetry-distinct sites (fractional):
Pu: 0.0000 0.0000 0.1946
Th: 0.0000 0.5000 0.0000
Ga: 0.0000 0.0000 0.3592
Ga: 0.0000 0.5000 0.4332

Main lines, in order of rising 2θ (10 to 90 degrees two-theta):
hkl  2theta  d_spacing  I/Imax
0 1 3  25.55  3.487  35
1 1 2  31.83  2.812  100
1 0 5  32.12  2.786  62
0 1 7  39.81  2.264  36
1 2 5  54.80  1.675  28
2 1 7  60.60  1.528  21

=====

(11)
This entry pairs a crystal structure of PuThTlGa with its computed powder diffractogram. Radiation: Cu Kα. Structure: the GGA-PBE geometry in Alexandria.
Intensities are scaled so that the largest is 100.

Structure:
abc: 7.5403 7.5403 7.5403
angles: 90.00 90.00 90.00
Space group F-43m (No. 216)
Symmetry-distinct sites (fractional):
Pu: 0.0000 0.0000 0.0000
Th: 0.0000 0.0000 0.5000
Tl: 0.2500 0.2500 0.7500
Ga: 0.2500 0.2500 0.2500

Main lines, in order of rising 2θ (10 to 90 degrees two-theta):
hkl  2theta  d_spacing  I/Imax
2 0 0  23.60  3.770  8
2 2 0  33.62  2.666  100
4 0 0  48.28  1.885  18
4 2 2  60.12  1.539  39
4 4 0  70.67  1.333  12
6 2 0  80.57  1.192  17

=====

(12)
This entry pairs a crystal structure of Pu2TlGa2 with its computed powder diffractogram. Radiation: Cu Kα. Structure: the GGA-PBE geometry in Alexandria.
Intensities are scaled so that the largest is 100.

Structure:
abc: 4.6549 15.7237 3.1102
angles: 90.00 90.00 90.00
Space group Cmmm (No. 65)
Symmetry-distinct sites (fractional):
Pu: 0.0000 0.1208 0.0000
Tl: 0.0000 0.5000 0.5000
Ga: 0.0000 0.2956 0.5000

Main lines, in order of rising 2θ (10 to 90 degrees two-theta):
hkl  2theta  d_spacing  I/Imax
1 3 0  25.59  3.480  51
1 5 0  34.42  2.606  81
1 1 1  35.17  2.552  100
0 4 1  36.85  2.439  69
2 0 0  38.69  2.327  38
2 4 1  54.49  1.684  46

=====

Q: Which formula does entry 8 have?
A: PuTl2GaTe4